Calculated powder diffraction line list
Compound: CrPt4
Radiation: CuKα
Structure: a GGA-PBE-relaxed structure

Crystal structure
```
data_CrPt4
_chemical_formula_sum 'Cr2 Pt8'
_symmetry_space_group_name_H-M 'P 1'
_symmetry_Int_Tables_number 1
_cell_length_a 4.7699
_cell_length_b 5.3718
_cell_length_c 7.2243
_cell_angle_alpha 110.03
_cell_angle_beta 90.08
_cell_angle_gamma 116.23
loop_
_symmetry_equiv_pos_as_xyz
'x,y,z'
loop_
_atom_site_label
_atom_site_fract_x
_atom_site_fract_y
_atom_site_fract_z
_atom_site_occupancy
Cr1 0.0000 0.0000 0.0000 1
Cr2 0.2119 0.4240 0.4242 1
Pt1 0.1476 0.5912 0.1186 1
Pt2 0.3534 0.0104 0.5106 1
Pt3 0.4076 0.8129 0.8167 1
Pt4 0.5555 0.4148 0.9137 1
Pt5 0.5873 0.2122 0.2118 1
Pt6 0.7691 0.8342 0.3057 1
Pt7 0.8068 0.6119 0.6071 1
Pt8 0.9537 0.2127 0.7124 1
```

Most intense lines, 10° ≤ 2θ ≤ 80°, in order of falling intensity:
- 42.25 deg, I 100, (1 1 1)
- 42.39 deg, I 99, (1 -1 3)
- 42.69 deg, I 76, (2 0 -1)
- 39.12 deg, I 75, (0 2 -2)
- 37.30 deg, I 39, (-1 1 2)
- 37.72 deg, I 33, (2 -1 0)
- 67.82 deg, I 29, (-3 2 2)
- 73.24 deg, I 26, (1 -3 5)
- 67.00 deg, I 16, (0 1 4)
- 55.04 deg, I 12, (1 -3 0)
- 55.28 deg, I 12, (1 1 -4)
- 19.27 deg, I 12, (0 1 -1)